(1)
Diffraction record for TmCoB2. The XRD peak list is calculated, not measured: it uses a structure optimized by DFT (PBE) and CuKα.
Lines closer than 0.1° are merged.

Crystal structure
Cell lengths 3.4436, 3.4436, 13.6330 Å; angles 90.00, 90.00, 120.00 degrees
Space group R-3m (No. 166, hexagonal axes)
Symmetry-distinct sites (fractional):
Tm 0.0000 0.0000 0.0000 x3
Co 0.0000 0.0000 0.5000 x3
B 0.0000 0.0000 0.1961 x6

Largest 10 diffraction maxima, sorted by position, 2θ = 10–80°:
d 4.544, 2θ 19.53, I 18.9
d 2.913, 2θ 30.69, I 30.8
d 2.732, 2θ 32.78, I 100.0
d 2.272, 2θ 39.67, I 23.5
d 2.244, 2θ 40.18, I 66.0
d 1.722, 2θ 53.20, I 31.5
d 1.480, 2θ 62.80, I 15.2
d 1.457, 2θ 63.91, I 14.6
d 1.372, 2θ 68.36, I 27.4
d 1.366, 2θ 68.71, I 13.1



(2)
Diffraction record for TmCo7B5. The XRD peak list is calculated, not measured: it uses a structure optimized by DFT (PBE) and CuKα.
Lines closer than 0.1° are merged.

Crystal structure
Cell lengths 4.582, 7.804, 6.910 Å; angles 90.00, 90.00, 90.00 degrees
Space group Imm2 (No. 44)
Symmetry-distinct sites (fractional):
Tm 0.000 0.000 0.000 x2
Co 0.000 0.000 0.341 x2
Co 0.000 0.000 0.659 x2
Co 0.000 0.287 0.461 x4
Co 0.000 0.341 0.069 x4
Co 0.000 0.500 0.756 x2
B 0.000 0.500 0.294 x2
B 0.195 0.268 0.748 x8

Largest 10 diffraction maxima, sorted by position, 2θ = 10–80°:
d 3.951, 2θ 22.50, I 35.9
d 3.455, 2θ 25.78, I 35.6
d 2.729, 2θ 32.82, I 64.6
d 2.291, 2θ 39.33, I 97.5
d 2.262, 2θ 39.85, I 100.0
d 2.209, 2θ 40.85, I 54.8
d 2.058, 2θ 44.00, I 51.2
d 1.893, 2θ 48.07, I 71.5
d 1.820, 2θ 50.11, I 73.5
d 1.590, 2θ 58.00, I 37.3



(3)
Diffraction record for TmCo22B6. The XRD peak list is calculated, not measured: it uses a structure optimized by DFT (PBE) and CuKα.
Lines closer than 0.1° are merged.

Crystal structure
Cell lengths 10.537, 10.537, 10.537 Å; angles 90.00, 90.00, 90.00 degrees
Space group Fm-3m (No. 225)
Symmetry-distinct sites (fractional):
Tm 0.000 0.000 0.000 x4
Co 0.000 0.174 0.174 x48
Co 0.119 0.119 0.381 x32
Co 0.250 0.250 0.250 x8
B 0.000 0.000 0.273 x24

Largest 10 diffraction maxima, sorted by position, 2θ = 10–80°:
d 6.084, 2θ 14.56, I 11.0
d 3.177, 2θ 28.09, I 13.5
d 3.042, 2θ 29.36, I 9.1
d 2.151, 2θ 42.01, I 35.1
d 2.028, 2θ 44.69, I 100.0
d 1.863, 2θ 48.90, I 24.8
d 1.781, 2θ 51.29, I 9.1
d 1.756, 2θ 52.08, I 14.3
d 1.242, 2θ 76.75, I 22.3
d 1.217, 2θ 78.63, I 15.1



(4)
Diffraction record for TmCo6B3. The XRD peak list is calculated, not measured: it uses a structure optimized by DFT (PBE) and CuKα.
Lines closer than 0.1° are merged.

Crystal structure
Cell lengths 4.941, 5.002, 5.510 Å; angles 69.03, 63.45, 60.41 degrees
Space group P1 (No. 1)
Symmetry-distinct sites (fractional):
Tm 0.000 0.000 0.000 x1
Co 0.116 0.574 0.693 x1
Co 0.362 0.946 0.331 x1
Co 0.420 0.466 0.216 x1
Co 0.617 0.573 0.693 x1
Co 0.649 0.100 0.598 x1
Co 0.899 0.465 0.216 x1
B 0.084 0.320 0.513 x1
B 0.378 0.287 0.957 x1
B 0.637 0.772 0.954 x1

Largest 10 diffraction maxima, sorted by position, 2θ = 10–80°:
d 3.794, 2θ 23.45, I 23.6
d 2.697, 2θ 33.22, I 40.2
d 2.478, 2θ 36.26, I 33.1
d 2.312, 2θ 38.95, I 15.9
d 2.291, 2θ 39.33, I 19.2
d 2.140, 2θ 42.23, I 100.0
d 2.127, 2θ 42.51, I 26.2
d 2.100, 2θ 43.07, I 15.1
d 1.967, 2θ 46.14, I 19.0
d 1.731, 2θ 52.90, I 24.1